Record 1
For TbPmPt, DFT lattice parameters and positions (GGA-PBE) gives the theoretical XRD peak list in this record (a wavelength of 1.5418 Å).
Lines closer than 0.1° are merged.

Structure:
```
data_TbPmPt
_chemical_formula_sum 'Tb8 Pm8 Pt8'
_symmetry_space_group_name_H-M 'P b c a'
_symmetry_Int_Tables_number 61
_cell_length_a 6.9670
_cell_length_b 13.4199
_cell_length_c 7.2077
_cell_angle_alpha 90.00
_cell_angle_beta 90.00
_cell_angle_gamma 90.00
loop_
_symmetry_equiv_pos_as_xyz
'x,y,z'
'-x,-y,-z'
'-x+1/2,-y,z+1/2'
'x+1/2,y,-z+1/2'
'x+1/2,-y+1/2,-z'
'-x+1/2,y+1/2,z'
'-x,y+1/2,-z+1/2'
'x,-y+1/2,z+1/2'
loop_
_atom_site_label
_atom_site_fract_x
_atom_site_fract_y
_atom_site_fract_z
Tb1 0.0032 0.0315 0.2396
Pm1 0.1976 0.6990 0.8939
Pt1 0.2261 0.1026 0.5423
```

Most intense lines, 2θ from 5° to 70°, sorted by position:
2θ/deg, d [Å], I (rel.)
22.15, 4.014, 69.4
28.88, 3.092, 53.6
29.36, 3.042, 43.3
30.95, 2.889, 46.6
31.49, 2.841, 54.4
32.11, 2.788, 94.4
35.85, 2.505, 100.0
36.59, 2.456, 46.6
37.21, 2.416, 41.9
38.36, 2.347, 39.4
39.85, 2.262, 47.3
44.36, 2.042, 52.9

Record 2
For Ta3C4, DFT lattice parameters and positions (GGA-PBE) gives the theoretical XRD peak list in this record (a wavelength of 1.5418 Å).
Lines closer than 0.1° are merged.

Structure:
```
data_Ta3C4
_chemical_formula_sum 'Ta3 C4'
_symmetry_space_group_name_H-M 'P m -3 m'
_symmetry_Int_Tables_number 221
_symmetry_space_group_name_Hall '-P 4 2 3'
_cell_length_a 4.4104
_cell_length_b 4.4104
_cell_length_c 4.4104
_cell_angle_alpha 90.00
_cell_angle_beta 90.00
_cell_angle_gamma 90.00
loop_
_atom_site_label
_atom_site_fract_x
_atom_site_fract_y
_atom_site_fract_z
Ta1 0.0000 0.0000 0.5000
C1 0.0000 0.0000 0.0000
C2 0.0000 0.5000 0.5000
```

Most intense lines, 2θ from 5° to 70°, sorted by position:
2θ/deg, d [Å], I (rel.)
20.13, 4.410, 39.9
28.62, 3.119, 33.8
35.25, 2.546, 100.0
40.92, 2.205, 67.8
46.02, 1.972, 18.8
50.70, 1.801, 14.2
59.26, 1.559, 45.1
63.25, 1.470, 9.2
67.11, 1.395, 6.2

Record 3
For Pm4NiIr2, DFT lattice parameters and positions (GGA-PBE) gives the theoretical XRD peak list in this record (a wavelength of 1.5418 Å).
Lines closer than 0.1° are merged.

Structure:
```
data_Pm4NiIr2
_chemical_formula_sum 'Pm16 Ni4 Ir8'
_symmetry_space_group_name_H-M 'C 1 2 1'
_symmetry_Int_Tables_number 5
_cell_length_a 12.4689
_cell_length_b 8.7745
_cell_length_c 8.7734
_cell_angle_alpha 90.00
_cell_angle_beta 134.70
_cell_angle_gamma 90.00
loop_
_symmetry_equiv_pos_as_xyz
'x,y,z'
'-x,y,-z'
'x+1/2,y+1/2,z'
'-x+1/2,y+1/2,-z'
loop_
_atom_site_label
_atom_site_fract_x
_atom_site_fract_y
_atom_site_fract_z
Pm1 0.0586 0.0000 0.2463
Pm2 0.0587 0.3812 0.3710
Pm3 0.1911 0.6280 0.1323
Pm4 0.1911 0.7531 0.7508
Ni1 0.1246 0.6906 0.3747
Ir1 0.0000 0.0605 0.5000
Ir2 0.0000 0.3202 0.0000
Ir3 0.2495 0.9405 0.1293
```

Most intense lines, 2θ from 5° to 70°, sorted by position:
2θ/deg, d [Å], I (rel.)
14.20, 6.235, 9.0
31.96, 2.800, 41.1
32.25, 2.776, 100.0
38.13, 2.360, 37.4
38.33, 2.349, 41.2
48.46, 1.878, 14.9
50.90, 1.794, 12.3
52.88, 1.731, 15.0
53.03, 1.727, 10.1
53.21, 1.721, 13.6
65.46, 1.426, 9.5
65.55, 1.424, 14.4

Record 4
For Zr6CoNi, DFT lattice parameters and positions (GGA-PBE) gives the theoretical XRD peak list in this record (a wavelength of 1.5418 Å).
Lines closer than 0.1° are merged.

Structure:
```
data_Zr6CoNi
_chemical_formula_sum 'Zr12 Co2 Ni2'
_symmetry_space_group_name_H-M 'I 4/m m m'
_symmetry_Int_Tables_number 139
_symmetry_space_group_name_Hall '-I 4 2'
_cell_length_a 4.5918
_cell_length_b 4.5918
_cell_length_c 14.9197
_cell_angle_alpha 90.00
_cell_angle_beta 90.00
_cell_angle_gamma 90.00
loop_
_atom_site_label
_atom_site_fract_x
_atom_site_fract_y
_atom_site_fract_z
Zr1 0.0000 0.0000 0.2497
Zr2 0.0000 0.5000 0.1055
Co1 0.0000 0.0000 0.0000
Ni1 0.0000 0.0000 0.5000
```

Most intense lines, 2θ from 5° to 70°, sorted by position:
2θ/deg, d [Å], I (rel.)
30.02, 2.977, 9.3
36.12, 2.487, 6.0
36.70, 2.449, 100.0
39.24, 2.296, 47.1
45.97, 1.974, 4.5
48.83, 1.865, 7.1
54.39, 1.687, 7.3
56.70, 1.623, 15.5
64.36, 1.448, 11.9
69.10, 1.359, 3.5
69.31, 1.356, 6.1
69.46, 1.353, 28.6

Record 5
For LaNd10Dy6, DFT lattice parameters and positions (GGA-PBE) gives the theoretical XRD peak list in this record (a wavelength of 1.5418 Å).
Lines closer than 0.1° are merged.

Structure:
```
data_LaNd10Dy6
_chemical_formula_sum 'La1 Nd10 Dy6'
_symmetry_space_group_name_H-M 'P -3 1 m'
_symmetry_Int_Tables_number 162
_symmetry_space_group_name_Hall '-P 3 2'
_cell_length_a 9.9025
_cell_length_b 9.9025
_cell_length_c 6.9452
_cell_angle_alpha 90.00
_cell_angle_beta 90.00
_cell_angle_gamma 120.00
loop_
_atom_site_label
_atom_site_fract_x
_atom_site_fract_y
_atom_site_fract_z
La1 0.0000 0.0000 0.0000
Nd1 0.0000 0.2776 0.6800
Nd2 0.3333 0.6667 0.0000
Nd3 0.3333 0.6667 0.5000
Dy1 0.0000 0.3715 0.1905
```

Most intense lines, 2θ from 5° to 70°, sorted by position:
2θ/deg, d [Å], I (rel.)
24.40, 3.649, 8.6
30.43, 2.937, 39.7
31.29, 2.859, 80.8
31.47, 2.843, 100.0
40.07, 2.250, 10.7
44.97, 2.016, 26.4
48.07, 1.893, 12.9
55.38, 1.659, 8.2
55.80, 1.647, 18.8
56.13, 1.638, 18.6
58.48, 1.578, 9.7
61.68, 1.504, 11.0

Record 6
For Ho19Er4Sc6, DFT lattice parameters and positions (GGA-PBE) gives the theoretical XRD peak list in this record (a wavelength of 1.5418 Å).
Lines closer than 0.1° are merged.

Structure:
```
data_Ho19Er4Sc6
_chemical_formula_sum 'Ho38 Er8 Sc12'
_symmetry_space_group_name_H-M 'I 2 3'
_symmetry_Int_Tables_number 197
_symmetry_space_group_name_Hall 'I 2 2 3'
_cell_length_a 12.1975
_cell_length_b 12.1975
_cell_length_c 12.1975
_cell_angle_alpha 90.00
_cell_angle_beta 90.00
_cell_angle_gamma 90.00
loop_
_atom_site_label
_atom_site_fract_x
_atom_site_fract_y
_atom_site_fract_z
Ho1 0.0000 0.0000 0.0000
Ho2 0.0000 0.0000 0.2655
Ho3 0.0591 0.2811 0.7272
Er1 0.1784 0.1784 0.1784
Sc1 0.0000 0.1180 0.5000
```

Most intense lines, 2θ from 5° to 70°, sorted by position:
2θ/deg, d [Å], I (rel.)
10.26, 8.625, 12.9
27.36, 3.260, 18.3
29.29, 3.049, 37.4
31.11, 2.875, 100.0
34.49, 2.601, 15.0
36.07, 2.490, 19.0
37.60, 2.392, 33.7
41.90, 2.156, 14.5
43.25, 2.092, 13.6
53.09, 1.725, 15.9
55.35, 1.660, 23.9
61.79, 1.501, 19.4

Record 7
For FeNiGeRh, DFT lattice parameters and positions (GGA-PBE) gives the theoretical XRD peak list in this record (a wavelength of 1.5418 Å).
Lines closer than 0.1° are merged.

Structure:
```
data_FeNiGeRh
_chemical_formula_sum 'Fe4 Ni4 Ge4 Rh4'
_symmetry_space_group_name_H-M 'F -4 3 m'
_symmetry_Int_Tables_number 216
_symmetry_space_group_name_Hall 'F -4 2 3'
_cell_length_a 5.8711
_cell_length_b 5.8711
_cell_length_c 5.8711
_cell_angle_alpha 90.00
_cell_angle_beta 90.00
_cell_angle_gamma 90.00
loop_
_atom_site_label
_atom_site_fract_x
_atom_site_fract_y
_atom_site_fract_z
Fe1 0.0000 0.0000 0.0000
Ni1 0.2500 0.2500 0.7500
Ge1 0.2500 0.2500 0.2500
Rh1 0.0000 0.0000 0.5000
```

Most intense lines, 2θ from 5° to 70°, sorted by position:
2θ/deg, d [Å], I (rel.)
26.29, 3.390, 6.4
30.45, 2.936, 0.9
43.60, 2.076, 100.0
51.63, 1.770, 3.2
63.37, 1.468, 15.6
69.83, 1.347, 1.4

Record 8
For Pm2Pr3Ho5, DFT lattice parameters and positions (GGA-PBE) gives the theoretical XRD peak list in this record (a wavelength of 1.5418 Å).
Lines closer than 0.1° are merged.

Structure:
```
data_Pm2Pr3Ho5
_chemical_formula_sum 'Pm8 Pr12 Ho20'
_symmetry_space_group_name_H-M 'C 1 2/c 1'
_symmetry_Int_Tables_number 15
_cell_length_a 10.6896
_cell_length_b 16.4529
_cell_length_c 9.3442
_cell_angle_alpha 90.00
_cell_angle_beta 124.89
_cell_angle_gamma 90.00
loop_
_symmetry_equiv_pos_as_xyz
'x,y,z'
'-x,-y,-z'
'-x,y,-z+1/2'
'x,-y,z+1/2'
'x+1/2,y+1/2,z'
'-x+1/2,-y+1/2,-z'
'-x+1/2,y+1/2,-z+1/2'
'x+1/2,-y+1/2,z+1/2'
loop_
_atom_site_label
_atom_site_fract_x
_atom_site_fract_y
_atom_site_fract_z
Pm1 0.1486 0.1192 0.0442
Pr1 0.0000 0.2677 0.7500
Pr2 0.1469 0.3758 0.5473
Ho1 0.0000 0.0286 0.2500
Ho2 0.0000 0.2265 0.2500
Ho3 0.0000 0.4744 0.7500
Ho4 0.2448 0.1144 0.7370
```

Most intense lines, 2θ from 5° to 70°, sorted by position:
2θ/deg, d [Å], I (rel.)
29.78, 3.000, 100.0
30.70, 2.913, 92.2
31.92, 2.804, 20.2
33.53, 2.672, 44.2
36.84, 2.440, 25.9
39.08, 2.305, 14.0
48.71, 1.869, 19.4
57.65, 1.599, 15.6
58.20, 1.585, 15.4
60.44, 1.532, 20.5
64.00, 1.455, 20.5
67.52, 1.387, 18.6

Repeat the third record exactly.
For Pm4NiIr2, DFT lattice parameters and positions (GGA-PBE) gives the theoretical XRD peak list in this record (a wavelength of 1.5418 Å).
Lines closer than 0.1° are merged.

Structure:
```
data_Pm4NiIr2
_chemical_formula_sum 'Pm16 Ni4 Ir8'
_symmetry_space_group_name_H-M 'C 1 2 1'
_symmetry_Int_Tables_number 5
_cell_length_a 12.4689
_cell_length_b 8.7745
_cell_length_c 8.7734
_cell_angle_alpha 90.00
_cell_angle_beta 134.70
_cell_angle_gamma 90.00
loop_
_symmetry_equiv_pos_as_xyz
'x,y,z'
'-x,y,-z'
'x+1/2,y+1/2,z'
'-x+1/2,y+1/2,-z'
loop_
_atom_site_label
_atom_site_fract_x
_atom_site_fract_y
_atom_site_fract_z
Pm1 0.0586 0.0000 0.2463
Pm2 0.0587 0.3812 0.3710
Pm3 0.1911 0.6280 0.1323
Pm4 0.1911 0.7531 0.7508
Ni1 0.1246 0.6906 0.3747
Ir1 0.0000 0.0605 0.5000
Ir2 0.0000 0.3202 0.0000
Ir3 0.2495 0.9405 0.1293
```

Most intense lines, 2θ from 5° to 70°, sorted by position:
2θ/deg, d [Å], I (rel.)
14.20, 6.235, 9.0
31.96, 2.800, 41.1
32.25, 2.776, 100.0
38.13, 2.360, 37.4
38.33, 2.349, 41.2
48.46, 1.878, 14.9
50.90, 1.794, 12.3
52.88, 1.731, 15.0
53.03, 1.727, 10.1
53.21, 1.721, 13.6
65.46, 1.426, 9.5
65.55, 1.424, 14.4